(1)
Simulated PXRD pattern
Compound: LiMg14MnO16
Radiation: Cu Kα (λ = 1.5418 Å)
Structure: a cell relaxed with PBE+U
No peak broadening, texture or thermal motion is included.

Top 8 peaks for 2θ = 10–80°, by intensity:
d [Å]  2theta  I_rel  hkl
2.131  42.41  100  2 0 0
1.503  61.73  54  2 4 0
2.119  42.67  48  0 4 0
1.507  61.53  28  2 0 4
1.228  77.77  25  2 4 4
2.456  36.58  17  1 2 2
8.478  10.44  9  0 1 0
6.013  14.73  9  0 1 1

```
data_LiMg14MnO16
_chemical_formula_sum 'Li1 Mg14 Mn1 O16'
_cell_length_a 4.260
_cell_length_b 8.475
_cell_length_c 8.531
_cell_angle_alpha 90.00
_cell_angle_beta 90.00
_cell_angle_gamma 90.00
_symmetry_space_group_name_H-M 'P m m m'
_symmetry_Int_Tables_number 47
_symmetry_space_group_name_Hall '-P 2 2'
loop_
_atom_site_label
_atom_site_type_symbol
_atom_site_fract_x
_atom_site_fract_y
_atom_site_fract_z
Li1 Li 0.000 0.000 0.000
Mg1 Mg 0.000 0.000 0.500
Mg2 Mg 0.000 0.245 0.251
Mg3 Mg 0.000 0.500 0.500
Mg4 Mg 0.500 0.000 0.244
Mg5 Mg 0.500 0.242 0.000
Mg6 Mg 0.500 0.248 0.500
Mg7 Mg 0.500 0.500 0.252
Mn1 Mn 0.000 0.500 0.000
O1 O 0.000 0.000 0.254
O2 O 0.000 0.253 0.500
O3 O 0.000 0.270 0.000
O4 O 0.000 0.500 0.249
O5 O 0.500 0.000 0.000
O6 O 0.500 0.000 0.500
O7 O 0.500 0.251 0.249
O8 O 0.500 0.500 0.000
O9 O 0.500 0.500 0.500
```


(2)
Simulated PXRD pattern
Compound: LiMg14MnO16
Radiation: Cu Kα (λ = 1.5418 Å)
Structure: a cell relaxed with PBE+U
No peak broadening, texture or thermal motion is included.

Top 8 peaks for 2θ = 10–80°, by intensity:
d [Å]  2theta  I_rel  hkl
2.119  42.67  100  4 0 0
1.508  61.49  57  4 0 2
2.147  42.10  53  0 0 2
1.498  61.93  28  4 4 0
1.229  77.73  25  4 4 2
8.476  10.44  18  1 0 0
2.457  36.57  17  2 2 1
2.841  31.48  9  2 1 1

```
data_LiMg14MnO16
_chemical_formula_sum 'Li1 Mg14 Mn1 O16'
_cell_length_a 8.476
_cell_length_b 8.476
_cell_length_c 4.293
_cell_angle_alpha 90.00
_cell_angle_beta 90.00
_cell_angle_gamma 90.00
_symmetry_space_group_name_H-M 'P 4/m m m'
_symmetry_Int_Tables_number 123
_symmetry_space_group_name_Hall '-P 4 2'
loop_
_atom_site_label
_atom_site_type_symbol
_atom_site_fract_x
_atom_site_fract_y
_atom_site_fract_z
Li1 Li 0.000 0.000 0.000
Mg1 Mg 0.000 0.243 0.500
Mg2 Mg 0.000 0.500 0.000
Mg3 Mg 0.243 0.243 0.000
Mg4 Mg 0.248 0.500 0.500
Mn1 Mn 0.500 0.500 0.000
O1 O 0.000 0.000 0.500
O2 O 0.000 0.260 0.000
O3 O 0.000 0.500 0.500
O4 O 0.251 0.251 0.500
O5 O 0.262 0.500 0.000
O6 O 0.500 0.500 0.500
```